This entry pairs a crystal structure of Y2CuSiI2 with its theoretical powder diffractogram. Radiation: Cu Kα (weighted mean of Kα1 and Kα2). Structure: a cell relaxed with PBE.
No peak broadening, texture or thermal motion is included.

Most intense lines, 5° ≤ 2θ ≤ 70°, low angle first:
| 2θ (°) | d (Å) | I (rel.) | (hkl) |
| --- | --- | --- | --- |
| 7.3 | 12.057 | 32.3 | 0 0 1 |
| 26.2 | 3.402 | 73.8 | 1 0 1 |
| 29.2 | 3.057 | 45.9 | 1 0 2 |
| 33.7 | 2.659 | 100.0 | 1 0 3 |
| 39.2 | 2.297 | 26.0 | 0 1 4 |
| 44.2 | 2.048 | 51.2 | 1 1 0 |
| 45.1 | 2.010 | 14.8 | 0 0 6 |
| 45.5 | 1.994 | 14.4 | 0 1 5 |
| 56.7 | 1.622 | 21.5 | 0 2 3 |
| 65.0 | 1.434 | 28.9 | 1 1 6 |

Crystal structure
Lattice parameters (Å, degrees): 4.0950 4.0950 12.0574 90.00 90.00 120.00
Positions (direct):
Y: 0.0000 0.0000 0.0000
Y: 0.0000 0.0000 0.3150
Cu: 0.3333 0.6667 0.1673
Si: 0.6667 0.3333 0.1496
I: 0.3333 0.6667 0.8302
I: 0.6667 0.3333 0.4853